Structure and computed PXRD pattern of BaSrCaCl6 (DFT lattice parameters and positions (GGA-PBE); copper Kα).
Intensities are scaled so that the largest is 1000.

The 6 most intense peaks (2θ from 10° to 80°), sorted by position:
index	Position (°2θ)	I_rel
1 0 2	19.4	1000
2 -1 2	27.8	370
2 0 2	31.2	291
1 1 4	36.7	666
2 1 2	39.9	312
3 0 0	42.6	335

Structural model:
```
data_BaSrCaCl6
_space_group_name_H-M_alt 'P -3 1 c'
_space_group_IT_number 163
_space_group_name_Hall '-P 3 2c'
_cell_length_a 7.3466
_cell_length_b 7.3466
_cell_length_c 13.1482
_cell_angle_alpha 90.00
_cell_angle_beta 90.00
_cell_angle_gamma 120.00
loop_
_atom_site_label
_atom_site_type_symbol
_atom_site_fract_x
_atom_site_fract_y
_atom_site_fract_z
Ba1 Ba 0.0000 0.0000 0.0000
Sr1 Sr 0.3333 0.6667 0.2500
Ca1 Ca 0.3333 0.6667 0.7500
Cl1 Cl 0.0152 0.3600 0.6332
```

---

Structure and computed PXRD pattern of In6PtRh3 (DFT lattice parameters and positions (GGA-PBE); copper Kα).
Intensities are scaled so that the largest is 1000.

The 6 most intense peaks (2θ from 10° to 80°), sorted by position:
index	Position (°2θ)	I_rel
1 2 -2	31.0	692
1 0 2	33.4	634
1 1 2	36.0	708
0 2 3	40.9	683
1 3 -1	41.9	1000
2 2 0	42.4	778

Structural model:
```
data_In6PtRh3
_space_group_name_H-M_alt 'P 1 21/c 1'
_space_group_IT_number 14
_cell_length_a 6.980
_cell_length_b 6.805
_cell_length_c 11.108
_cell_angle_alpha 90.00
_cell_angle_beta 128.49
_cell_angle_gamma 90.00
loop_
_space_group_symop_operation_xyz
'x,y,z'
'-x,-y,-z'
'-x,y+1/2,-z+1/2'
'x,-y+1/2,z+1/2'
loop_
_atom_site_label
_atom_site_type_symbol
_atom_site_fract_x
_atom_site_fract_y
_atom_site_fract_z
In1 In 0.026 0.036 0.248
In2 In 0.219 0.651 0.072
In3 In 0.415 0.148 0.071
Pt1 Pt 0.500 0.000 0.500
Rh1 Rh 0.000 0.000 0.000
Rh2 Rh 0.297 0.177 0.753
```

---

Structure and computed PXRD pattern of InCu3O6 (DFT lattice parameters and positions (GGA-PBE); copper Kα).
Intensities are scaled so that the largest is 1000.

The 6 most intense peaks (2θ from 10° to 80°), sorted by position:
index	Position (°2θ)	I_rel
2 2 0	31.8	1000
0 2 1	33.4	998
2 0 1	38.2	355
2 4 1	54.3	640
4 2 1	64.2	272
2 2 2	67.0	214

Structural model:
```
data_InCu3O6
_space_group_name_H-M_alt 'C m m m'
_space_group_IT_number 65
_space_group_name_Hall '-C 2 2'
_cell_length_a 6.900
_cell_length_b 9.716
_cell_length_c 3.221
_cell_angle_alpha 90.00
_cell_angle_beta 90.00
_cell_angle_gamma 90.00
loop_
_atom_site_label
_atom_site_type_symbol
_atom_site_fract_x
_atom_site_fract_y
_atom_site_fract_z
In1 In 0.000 0.000 0.000
Cu1 Cu 0.000 0.500 0.000
Cu2 Cu 0.250 0.250 0.500
O1 O 0.000 0.155 0.500
O2 O 0.197 0.372 0.000
```

---

Structure and computed PXRD pattern of Dy3Ho8Th (DFT lattice parameters and positions (GGA-PBE); copper Kα).
Intensities are scaled so that the largest is 1000.

The 6 most intense peaks (2θ from 10° to 80°), sorted by position:
index	Position (°2θ)	I_rel
1 1 2	20.1	283
2 2 0	33.0	1000
4 0 0	47.5	122
2 2 8	58.9	129
4 2 4	59.1	256
6 2 0	79.1	110

Structural model:
```
data_Dy3Ho8Th
_space_group_name_H-M_alt 'I 4/m m m'
_space_group_IT_number 139
_space_group_name_Hall '-I 4 2'
_cell_length_a 7.657
_cell_length_b 7.657
_cell_length_c 15.383
_cell_angle_alpha 90.00
_cell_angle_beta 90.00
_cell_angle_gamma 90.00
loop_
_atom_site_label
_atom_site_type_symbol
_atom_site_fract_x
_atom_site_fract_y
_atom_site_fract_z
Dy1 Dy 0.000 0.000 0.000
Dy2 Dy 0.000 0.500 0.250
Ho1 Ho 0.250 0.250 0.125
Th1 Th 0.000 0.000 0.500
```

---

Structure and computed PXRD pattern of KTl2Cd2Sb2 (DFT lattice parameters and positions (GGA-PBE); copper Kα).
Intensities are scaled so that the largest is 1000.

The 6 most intense peaks (2θ from 10° to 80°), sorted by position:
index	Position (°2θ)	I_rel
1 0 7	27.9	1000
0 1 8	29.7	182
1 1 0	37.1	637
0 2 7	47.0	238
1 1 15	55.0	149
2 1 7	61.3	213

Structural model:
```
data_KTl2Cd2Sb2
_space_group_name_H-M_alt 'R -3 m'
_space_group_IT_number 166
_space_group_name_Hall '-R 3 2"'
_cell_length_a 4.8519
_cell_length_b 4.8519
_cell_length_c 34.5526
_cell_angle_alpha 90.00
_cell_angle_beta 90.00
_cell_angle_gamma 120.00
loop_
_atom_site_label
_atom_site_type_symbol
_atom_site_fract_x
_atom_site_fract_y
_atom_site_fract_z
K1 K 0.0000 0.0000 0.0000
Tl1 Tl 0.0000 0.0000 0.1411
Cd1 Cd 0.0000 0.0000 0.4197
Sb1 Sb 0.0000 0.0000 0.2632
```